Entry 1:
This entry pairs a crystal structure of Pa2SiGe with its simulated X-ray diffraction stick pattern. Radiation: CuKα. Structure: DFT lattice parameters and positions (PBE).

Atomic structure:
abc: 5.6914 4.1206 8.0812
angles: 90.00 109.88 90.00
Space group P2_1/m (No. 11)
Symmetry-distinct sites (fractional):
Pa1 0.1982 0.2500 0.4251 [2 per cell]
Pa2 0.2821 0.7500 0.0652 [2 per cell]
Si1 0.1233 0.2500 0.7934 [2 per cell]
Ge1 0.3801 0.7500 0.7067 [2 per cell]

Most intense lines, 10 to 90 degrees two-theta, low angle first:
two_theta  d_spacing  intensity  h k l
23.38  3.804  27  1 0 1
27.40  3.255  58  1 1 -1
32.02  2.795  100  0 1 2
33.60  2.667  21  1 0 -3
33.78  2.654  32  2 0 -2
40.23  2.242  37  2 1 0
43.95  2.060  21  0 2 0
56.58  1.627  24  2 2 -2



Entry 2:
This entry pairs a crystal structure of PaSiGe with its simulated X-ray diffraction stick pattern. Radiation: CuKα. Structure: DFT lattice parameters and positions (PBE).

Atomic structure:
abc: 4.1827 4.1827 3.9081
angles: 90.00 90.00 120.00
Space group P-6m2 (No. 187)
Symmetry-distinct sites (fractional):
Pa1 0.0000 0.0000 0.0000 [1 per cell]
Si1 0.6667 0.3333 0.5000 [1 per cell]
Ge1 0.3333 0.6667 0.5000 [1 per cell]

Most intense lines, 10 to 90 degrees two-theta, low angle first:
two_theta  d_spacing  intensity  h k l
24.58  3.622  44  1 0 0
33.74  2.657  100  1 0 1
43.26  2.091  35  1 1 0
46.47  1.954  9  0 0 2
53.27  1.720  12  1 0 2
55.96  1.643  24  2 0 1
65.36  1.428  21  1 1 2
73.26  1.292  22  2 1 1



Entry 3:
This entry pairs a crystal structure of Pa5TcGe2 with its simulated X-ray diffraction stick pattern. Radiation: CuKα. Structure: DFT lattice parameters and positions (PBE).

Atomic structure:
abc: 3.0790 10.1660 11.1398
angles: 90.00 90.00 90.00
Space group Immm (No. 71)
Symmetry-distinct sites (fractional):
Pa1 0.0000 0.0000 0.0000 [2 per cell]
Pa2 0.0000 0.2896 0.3591 [8 per cell]
Tc1 0.0000 0.5000 0.0000 [2 per cell]
Ge1 0.0000 0.0000 0.3060 [4 per cell]

Most intense lines, 10 to 90 degrees two-theta, low angle first:
two_theta  d_spacing  intensity  h k l
11.79  7.509  43  0 1 1
35.01  2.563  95  1 2 1
35.32  2.542  36  0 4 0
35.88  2.503  47  0 3 3
36.80  2.442  81  0 2 4
37.96  2.370  100  1 0 3
39.55  2.279  45  1 3 0
52.81  1.733  39  1 4 3



Entry 4:
This entry pairs a crystal structure of Pa5Tc2Ge with its simulated X-ray diffraction stick pattern. Radiation: CuKα. Structure: DFT lattice parameters and positions (PBE).

Atomic structure:
abc: 7.6984 7.6984 11.9258
angles: 90.00 90.00 90.00
Space group I4/mcm (No. 140)
Symmetry-distinct sites (fractional):
Pa1 0.0000 0.0000 0.0000 [4 per cell]
Pa2 0.1624 0.3376 0.1541 [16 per cell]
Tc1 0.1358 0.3642 0.5000 [8 per cell]
Ge1 0.0000 0.0000 0.2500 [4 per cell]

Most intense lines, 10 to 90 degrees two-theta, low angle first:
two_theta  d_spacing  intensity  h k l
26.96  3.308  16  2 1 1
34.29  2.615  12  1 1 4
34.46  2.602  100  2 1 3
36.92  2.434  48  3 1 0
38.18  2.357  19  2 0 4
54.28  1.690  18  4 1 3
60.09  1.540  14  3 1 6
69.93  1.345  16  5 2 3



Entry 5:
This entry pairs a crystal structure of Pa2TcGe with its simulated X-ray diffraction stick pattern. Radiation: CuKα. Structure: DFT lattice parameters and positions (PBE).

Atomic structure:
abc: 4.2166 4.2166 6.1683
angles: 90.00 90.00 120.00
Space group P-3m1 (No. 164)
Symmetry-distinct sites (fractional):
Pa1 0.3333 0.6667 0.2260 [2 per cell]
Tc1 0.0000 0.0000 0.0000 [1 per cell]
Ge1 0.0000 0.0000 0.5000 [1 per cell]

Most intense lines, 10 to 90 degrees two-theta, low angle first:
two_theta  d_spacing  intensity  h k l
28.40  3.142  100  1 0 1
38.20  2.356  52  0 1 2
42.90  2.108  44  1 1 0
50.97  1.792  19  1 0 3
52.25  1.751  19  0 2 1
58.77  1.571  15  2 0 2
69.83  1.347  16  2 1 1
75.46  1.260  14  1 2 2



Entry 6:
This entry pairs a crystal structure of Pa6Tc3Ge with its simulated X-ray diffraction stick pattern. Radiation: CuKα. Structure: DFT lattice parameters and positions (PBE).

Atomic structure:
abc: 7.3522 7.1559 10.5457
angles: 90.00 124.26 90.00
Space group P2_1/c (No. 14)
Symmetry-distinct sites (fractional):
Pa1 0.0363 0.1100 0.2754 [4 per cell]
Pa2 0.2578 0.6957 0.1005 [4 per cell]
Pa3 0.4045 0.1227 0.0524 [4 per cell]
Tc1 0.0000 0.0000 0.0000 [2 per cell]
Tc2 0.2201 0.1421 0.7014 [4 per cell]
Ge1 0.5000 0.0000 0.5000 [2 per cell]

Most intense lines, 10 to 90 degrees two-theta, low angle first:
two_theta  d_spacing  intensity  h k l
26.94  3.310  47  0 2 1
27.56  3.236  68  2 1 -2
31.27  2.860  100  1 0 2
33.48  2.676  38  1 2 1
35.58  2.523  63  2 2 -1
35.91  2.501  63  1 2 -3
36.90  2.436  34  2 1 -4
41.65  2.168  30  3 1 -1



Entry 7:
This entry pairs a crystal structure of Pa2Tc3Ge5 with its simulated X-ray diffraction stick pattern. Radiation: CuKα. Structure: DFT lattice parameters and positions (PBE).

Atomic structure:
abc: 9.8397 12.6603 5.8304
angles: 90.00 90.00 90.00
Space group Ibam (No. 72)
Symmetry-distinct sites (fractional):
Pa1 0.2325 0.1405 0.0000 [8 per cell]
Tc1 0.0000 0.5000 0.2500 [4 per cell]
Tc2 0.0896 0.1517 0.5000 [8 per cell]
Ge1 0.0000 0.0000 0.2500 [4 per cell]
Ge2 0.0000 0.2965 0.2500 [8 per cell]
Ge3 0.1774 0.4134 0.0000 [8 per cell]

Most intense lines, 10 to 90 degrees two-theta, low angle first:
two_theta  d_spacing  intensity  h k l
22.62  3.931  38  1 2 1
33.67  2.662  62  2 4 0
34.42  2.605  100  3 2 1
35.80  2.508  80  2 0 2
40.43  2.231  24  4 1 1
42.14  2.144  70  0 4 2
56.97  1.616  41  3 2 3
63.89  1.457  26  0 0 4



Entry 8:
This entry pairs a crystal structure of Pa4Tc5Ge with its simulated X-ray diffraction stick pattern. Radiation: CuKα. Structure: DFT lattice parameters and positions (PBE).

Atomic structure:
abc: 8.1011 9.4693 5.1646
angles: 90.00 90.00 90.00
Space group Pmmn (No. 59, origin choice 2)
Symmetry-distinct sites (fractional):
Pa1 0.0577 0.2500 0.1482 [4 per cell]
Pa2 0.2500 0.5609 0.2523 [4 per cell]
Tc1 0.0669 0.0252 0.7405 [8 per cell]
Tc2 0.2500 0.7500 0.7624 [2 per cell]
Ge1 0.2500 0.2500 0.6410 [2 per cell]

Most intense lines, 10 to 90 degrees two-theta, low angle first:
two_theta  d_spacing  intensity  h k l
29.57  3.021  24  2 1 1
30.39  2.941  20  1 3 0
33.27  2.693  71  0 3 1
34.54  2.597  27  3 1 0
34.74  2.582  38  0 0 2
38.01  2.367  23  0 4 0
42.32  2.136  100  3 2 1
59.63  1.551  17  3 5 0



Entry 9:
This entry pairs a crystal structure of Pa4TcGe8 with its simulated X-ray diffraction stick pattern. Radiation: CuKα. Structure: DFT lattice parameters and positions (PBE).

Atomic structure:
abc: 4.0832 4.0860 16.2078
angles: 90.00 90.00 90.00
Space group Pmm2 (No. 25)
Symmetry-distinct sites (fractional):
Pa1 0.0000 0.0000 0.0000 [1 per cell]
Pa2 0.0000 0.5000 0.4813 [1 per cell]
Pa3 0.5000 0.0000 0.7771 [1 per cell]
Pa4 0.5000 0.5000 0.2773 [1 per cell]
Tc1 0.0000 0.5000 0.7046 [1 per cell]
Ge1 0.0000 0.0000 0.3211 [1 per cell]
Ge2 0.0000 0.0000 0.6130 [1 per cell]
Ge3 0.0000 0.5000 0.1396 [1 per cell]
Ge4 0.0000 0.5000 0.8540 [1 per cell]
Ge5 0.5000 0.0000 0.1376 [1 per cell]
Ge6 0.5000 0.0000 0.4324 [1 per cell]
Ge7 0.5000 0.5000 0.6125 [1 per cell]
Ge8 0.5000 0.5000 0.9516 [1 per cell]

Most intense lines, 10 to 90 degrees two-theta, low angle first:
two_theta  d_spacing  intensity  h k l
22.44  3.962  13  0 1 1
24.41  3.647  27  1 0 2
31.46  2.843  16  1 1 1
35.24  2.547  100  1 1 3
35.35  2.539  25  0 1 5
40.02  2.253  19  1 0 6
44.35  2.042  39  2 0 0
75.71  1.256  25  3 1 3



Entry 10:
This entry pairs a crystal structure of Pa5GeTe4 with its simulated X-ray diffraction stick pattern. Radiation: CuKα. Structure: DFT lattice parameters and positions (PBE).

Atomic structure:
abc: 4.1864 4.4037 15.4485
angles: 85.72 82.31 90.00
Space group P-1 (No. 2)
Symmetry-distinct sites (fractional):
Pa1 0.0000 0.0000 0.0000 [1 per cell]
Pa2 0.2054 0.1567 0.5864 [2 per cell]
Pa3 0.4081 0.4154 0.1850 [2 per cell]
Ge1 0.5000 0.5000 0.0000 [1 per cell]
Te1 0.1019 0.0903 0.7948 [2 per cell]
Te2 0.3068 0.3491 0.3889 [2 per cell]

Most intense lines, 10 to 90 degrees two-theta, low angle first:
two_theta  d_spacing  intensity  h k l
25.80  3.454  20  1 0 -2
29.25  3.053  46  0 0 5
29.47  3.031  100  1 -1 0
40.95  2.204  38  1 -1 5
41.09  2.197  19  0 2 1
43.03  2.102  31  -1 1 5
43.22  2.093  19  2 0 1
52.99  1.728  17  2 0 -4



Entry 11:
This entry pairs a crystal structure of PaGeTe6 with its simulated X-ray diffraction stick pattern. Radiation: CuKα. Structure: DFT lattice parameters and positions (PBE).

Atomic structure:
abc: 7.6302 8.6445 7.9585
angles: 90.00 96.57 90.00
Space group C2/m (No. 12)
Symmetry-distinct sites (fractional):
Pa1 0.0000 0.0000 0.0000 [2 per cell]
Ge1 0.0000 0.5000 0.5000 [2 per cell]
Te1 0.1580 0.3234 0.8082 [8 per cell]
Te2 0.1799 0.0000 0.6833 [4 per cell]

Most intense lines, 10 to 90 degrees two-theta, low angle first:
two_theta  d_spacing  intensity  h k l
11.19  7.906  44  0 0 1
26.31  3.388  53  1 1 -2
27.23  3.275  63  2 0 1
33.26  2.693  37  1 3 0
34.61  2.592  32  2 0 2
35.65  2.519  100  1 3 1
37.28  2.412  41  2 2 -2
40.07  2.250  47  0 2 3



Entry 12:
This entry pairs a crystal structure of Pa6GeTe5 with its simulated X-ray diffraction stick pattern. Radiation: CuKα. Structure: DFT lattice parameters and positions (PBE).

Atomic structure:
abc: 7.5012 13.3615 7.2634
angles: 90.00 111.23 90.00
Space group C2/m (No. 12)
Symmetry-distinct sites (fractional):
Pa1 0.2195 0.0000 0.2415 [4 per cell]
Pa2 0.2302 0.1588 0.7314 [8 per cell]
Ge1 0.0000 0.0000 0.5000 [2 per cell]
Te1 0.0000 0.1803 0.0000 [4 per cell]
Te2 0.0000 0.3406 0.5000 [4 per cell]
Te3 0.0000 0.5000 0.0000 [2 per cell]

Most intense lines, 10 to 90 degrees two-theta, low angle first:
two_theta  d_spacing  intensity  h k l
24.77  3.595  10  1 3 -1
29.34  3.044  100  2 0 -2
40.51  2.227  14  0 6 0
41.42  2.180  25  3 3 -1
42.53  2.126  25  1 3 -3
50.79  1.798  15  2 6 -2
60.87  1.522  12  4 0 -4
69.78  1.348  11  3 3 -5